No. 1
Theoretical X-ray diffraction stick pattern
Compound: Ni2P2O7
Radiation: Cu Kα, 1.54184 Å
Structure: DFT lattice parameters and positions (GGA+U)
Peak positions follow from Bragg's law for the DFT cell and can differ from measured ones.

Top 8 peaks for 2θ = 10–90°, in order of falling intensity:
2θ 30.38, I 100
2θ 29.32, I 65
2θ 35.54, I 19
2θ 43.96, I 18
2θ 45.74, I 13
2θ 42.28, I 13
2θ 19.84, I 13
2θ 41.36, I 12

Cell and atoms:
```
Ni2P2O7
1.0
4.5139 0.0000 0.0000
0.0000 9.9934 0.0000
-0.6850 0.0000 5.2220
Ni P O
4 4 14
direct
0.0962 0.1567 0.4170
0.0962 0.3433 0.9170
0.9038 0.6567 0.0830
0.9038 0.8433 0.5830
0.3579 0.6114 0.6574
0.3579 0.8886 0.1574
0.6421 0.1114 0.8426
0.6421 0.3886 0.3426
0.1200 0.6792 0.4638
0.1200 0.8208 0.9638
0.2133 0.5415 0.8710
0.2133 0.9585 0.3710
0.3827 0.2035 0.7382
0.3827 0.2965 0.2382
0.5000 0.0000 0.0000
0.5000 0.5000 0.5000
0.6173 0.7035 0.7618
0.6173 0.7965 0.2618
0.7867 0.0415 0.6290
0.7867 0.4585 0.1290
0.8800 0.1792 0.0362
0.8800 0.3208 0.5362
```



No. 2
Theoretical X-ray diffraction stick pattern
Compound: Li4Mn3Co2Ni3O16
Radiation: Cu Kα, 1.54184 Å
Structure: DFT lattice parameters and positions (GGA+U)
Peak positions follow from Bragg's law for the DFT cell and can differ from measured ones.

Top 8 peaks for 2θ = 10–90°, in order of falling intensity:
2θ 19.11, I 100
2θ 20.28, I 93
2θ 20.05, I 65
2θ 47.06, I 51
2θ 64.18, I 48
2θ 36.71, I 47
2θ 46.37, I 38
2θ 19.81, I 36

Cell and atoms:
```
Li4Mn3Co2Ni3O16
1.0
5.0428 -2.8788 0.0000
5.0428 2.8788 0.0000
-0.2560 0.0000 9.2883
Li Mn Co Ni O
4 3 2 3 16
direct
0.0000 0.0000 0.0000
0.0027 0.0027 0.5045
0.3318 0.3318 0.6002
0.6653 0.6653 0.0985
0.1665 0.6574 0.2834
0.6574 0.1665 0.2834
0.8262 0.8262 0.7827
0.3279 0.3279 0.0092
0.6595 0.6595 0.5137
0.1680 0.1680 0.2847
0.3381 0.8283 0.7855
0.8283 0.3381 0.7855
0.0395 0.4876 0.1497
0.1584 0.6585 0.8990
0.1666 0.1666 0.9014
0.3344 0.8205 0.4011
0.3386 0.3386 0.3910
0.4781 0.4781 0.1588
0.4876 0.0395 0.1497
0.5203 0.5203 0.6500
0.5279 0.9564 0.6488
0.6585 0.1584 0.8990
0.6680 0.6680 0.8883
0.8205 0.3344 0.4011
0.8341 0.8341 0.3945
0.9564 0.5279 0.6488
0.9925 0.9925 0.1901
0.9957 0.9957 0.6958
```



No. 3
Theoretical X-ray diffraction stick pattern
Compound: CsMgMnP3HO10
Radiation: Cu Kα, 1.54184 Å
Structure: DFT lattice parameters and positions (GGA+U)
Peak positions follow from Bragg's law for the DFT cell and can differ from measured ones.

Top 8 peaks for 2θ = 10–90°, in order of falling intensity:
2θ 19.41, I 100
2θ 24.20, I 99
2θ 18.36, I 88
2θ 23.19, I 57
2θ 23.08, I 55
2θ 27.25, I 51
2θ 26.53, I 45
2θ 26.64, I 44

Cell and atoms:
```
CsMgMnP3HO10
1.0
6.7151 0.0000 0.0000
2.3078 6.5052 0.0000
2.2971 -0.1178 6.5483
Cs Mg Mn P H O
1 1 1 3 1 10
direct
0.0000 0.0000 0.0000
0.5004 0.3294 0.6731
0.4951 0.6937 0.3123
0.3512 0.2150 0.4235
0.6415 0.5831 0.7920
0.9939 0.6048 0.4061
0.4880 0.0831 0.9468
0.1259 0.3615 0.3745
0.1534 0.7254 0.3586
0.2909 0.1918 0.6581
0.4213 0.0216 0.3003
0.4670 0.6369 0.6757
0.5233 0.3341 0.3686
0.5695 0.7026 0.9872
0.7122 0.3458 0.8073
0.8348 0.6500 0.2857
0.8610 0.6417 0.6474
```



No. 4
Theoretical X-ray diffraction stick pattern
Compound: Mn3O2F4
Radiation: Cu Kα, 1.54184 Å
Structure: DFT lattice parameters and positions (GGA+U)
Peak positions follow from Bragg's law for the DFT cell and can differ from measured ones.

Top 8 peaks for 2θ = 10–90°, in order of falling intensity:
2θ 25.73, I 100
2θ 50.95, I 57
2θ 34.08, I 39
2θ 64.43, I 22
2θ 52.89, I 16
2θ 38.86, I 14
2θ 65.64, I 10
2θ 36.71, I 9

Cell and atoms:
```
Mn3O2F4
1.0
4.8960 0.0000 0.0000
0.0000 4.8960 0.0000
0.0000 0.0000 9.3592
Mn O F
6 4 8
direct
0.0000 0.0000 0.0000
0.0000 0.0000 0.3008
0.0000 0.0000 0.6490
0.5000 0.5000 0.1490
0.5000 0.5000 0.5000
0.5000 0.5000 0.8008
0.1830 0.1830 0.1501
0.3170 0.6830 0.6501
0.6830 0.3170 0.6501
0.8170 0.8170 0.1501
0.1857 0.1857 0.8371
0.1868 0.1868 0.4650
0.3132 0.6868 0.9650
0.3143 0.6857 0.3371
0.6857 0.3143 0.3371
0.6868 0.3132 0.9650
0.8132 0.8132 0.4650
0.8143 0.8143 0.8371
```



No. 5
Theoretical X-ray diffraction stick pattern
Compound: MgCr2O4
Radiation: Cu Kα, 1.54184 Å
Structure: DFT lattice parameters and positions (GGA+U)
Peak positions follow from Bragg's law for the DFT cell and can differ from measured ones.

Top 8 peaks for 2θ = 10–90°, in order of falling intensity:
2θ 17.01, I 100
2θ 34.58, I 52
2θ 49.46, I 42
2θ 49.70, I 41
2θ 61.97, I 29
2θ 38.85, I 21
2θ 38.71, I 21
2θ 35.66, I 12

Cell and atoms:
```
MgCr2O4
1.0
2.9948 0.0000 0.0000
-1.4965 2.5941 0.0000
-0.0594 -0.0360 10.4261
Mg Cr O
1 2 4
direct
0.0000 0.0000 0.0000
0.0060 0.9928 0.2605
0.0064 0.9933 0.7396
0.3374 0.6589 0.6573
0.3415 0.6608 0.3427
0.6674 0.3278 0.1269
0.6731 0.3310 0.8731
```



No. 6
Theoretical X-ray diffraction stick pattern
Compound: Mo3Br6O
Radiation: Cu Kα, 1.54184 Å
Structure: DFT lattice parameters and positions (GGA+U)
Peak positions follow from Bragg's law for the DFT cell and can differ from measured ones.

Top 8 peaks for 2θ = 10–90°, in order of falling intensity:
2θ 10.90, I 100
2θ 37.19, I 59
2θ 28.57, I 54
2θ 40.88, I 35
2θ 26.08, I 26
2θ 11.58, I 26
2θ 23.25, I 21
2θ 14.41, I 18

Cell and atoms:
```
Mo3Br6O
1.0
-5.4031 5.4031 6.1447
5.4031 -5.4031 6.1447
5.4031 5.4031 -6.1447
Mo Br O
6 12 2
direct
0.1037 0.2006 0.3043
0.1894 0.1894 0.0000
0.2006 0.8963 0.0969
0.7994 0.1037 0.9031
0.8106 0.8106 0.0000
0.8963 0.7994 0.6957
0.0656 0.3932 0.1698
0.1041 0.9344 0.3276
0.2123 0.4095 0.6219
0.2234 0.8959 0.8302
0.3932 0.2234 0.3276
0.4095 0.7877 0.1972
0.5905 0.2123 0.8028
0.6068 0.7766 0.6724
0.7766 0.1041 0.1698
0.7877 0.5905 0.3781
0.8959 0.0656 0.6724
0.9344 0.6068 0.8302
0.3290 0.3290 0.0000
0.6710 0.6710 0.0000
```



What is the formula in the third record? CsMgMnP3HO10